[1]
For Tb3Fe7Tc2, a cell relaxed with GGA-PBE gives the theoretical powder X-ray diffraction pattern in this record (Cu Kα (weighted mean of Kα1 and Kα2)).
No peak broadening, texture or thermal motion is included.

Atomic structure:
Lattice parameters (Å, degrees): 5.1003 5.1003 25.0857 90.00 90.00 120.00
Space group R-3m (No. 166, hexagonal axes)
One atom of each set of equivalent atoms:
Tb 0.0000 0.0000 0.0000
Tb 0.0000 0.0000 0.1416
Fe 0.0000 0.0000 0.5000
Fe 0.0020 0.5010 0.0839
Tc 0.0000 0.0000 0.3319

Most intense lines, 10 to 90 degrees two-theta, in order of rising 2θ:
(1 0 7), 2θ 32.16, 2.783 Å, rel. 38; (1 1 0), 2θ 35.17, 2.552 Å, rel. 76; (0 2 1), 2θ 41.03, 2.200 Å, rel. 24; (1 1 6), 2θ 41.47, 2.177 Å, rel. 100; (3 0 0), 2θ 63.12, 1.473 Å, rel. 18; (1 1 15), 2θ 66.90, 1.399 Å, rel. 13; (3 0 6), 2θ 67.44, 1.389 Å, rel. 22; (2 2 0), 2θ 74.40, 1.275 Å, rel. 18

=====

[2]
For KCd, a cell relaxed with GGA-PBE gives the theoretical powder X-ray diffraction pattern in this record (Cu Kα (weighted mean of Kα1 and Kα2)).
No peak broadening, texture or thermal motion is included.

Atomic structure:
Lattice parameters (Å, degrees): 4.9819 5.1966 6.9272 90.00 110.71 90.00
Space group P2_1/m (No. 11)
One atom of each set of equivalent atoms:
K 0.1496 0.2500 0.3008
Cd 0.4459 0.2500 0.8901

Most intense lines, 10 to 90 degrees two-theta, in order of rising 2θ:
(0 0 1), 2θ 13.67, 6.480 Å, rel. 72; (1 0 0), 2θ 19.09, 4.650 Å, rel. 83; (1 1 -1), 2θ 25.71, 3.465 Å, rel. 63; (1 1 1), 2θ 32.32, 2.770 Å, rel. 40; (0 1 2), 2θ 32.53, 2.753 Å, rel. 100; (0 2 0), 2θ 34.52, 2.598 Å, rel. 33; (2 0 -1), 2θ 36.06, 2.491 Å, rel. 29; (1 2 0), 2θ 39.74, 2.268 Å, rel. 26

=====

[3]
For Tb2PmHoAs4, a cell relaxed with GGA-PBE gives the theoretical powder X-ray diffraction pattern in this record (Cu Kα (weighted mean of Kα1 and Kα2)).
No peak broadening, texture or thermal motion is included.

Atomic structure:
Lattice parameters (Å, degrees): 7.1944 4.1568 7.1954 90.00 109.47 90.00
Space group P2/m (No. 10)
One atom of each set of equivalent atoms:
Tb 0.0000 0.0000 0.0000
Tb 0.5000 0.5000 0.0000
Pm 0.0000 0.5000 0.5000
Ho 0.5000 0.0000 0.5000
As 0.2536 0.5000 0.2495
As 0.2550 0.0000 0.7532

Most intense lines, 10 to 90 degrees two-theta, in order of rising 2θ:
(2 0 0), 2θ 26.27, 3.393 Å, rel. 22; (1 1 1), 2θ 30.42, 2.938 Å, rel. 100; (0 2 0), 2θ 43.56, 2.077 Å, rel. 75; (3 1 1), 2θ 51.59, 1.772 Å, rel. 11; (0 0 4), 2θ 54.06, 1.696 Å, rel. 26; (2 2 2), 2θ 63.31, 1.469 Å, rel. 12; (1 3 1), 2θ 71.85, 1.314 Å, rel. 34; (4 2 -4), 2θ 79.99, 1.199 Å, rel. 25

=====

[4]
For Cd5In3Pb2, a cell relaxed with GGA-PBE gives the theoretical powder X-ray diffraction pattern in this record (Cu Kα (weighted mean of Kα1 and Kα2)).
No peak broadening, texture or thermal motion is included.

Atomic structure:
Lattice parameters (Å, degrees): 11.3540 15.4280 6.0378 90.00 93.41 90.00
Space group C2/c (No. 15)
One atom of each set of equivalent atoms:
Cd 0.0000 0.0388 0.2500
Cd 0.1270 0.3549 0.6345
Cd 0.2459 0.0378 0.0055
In 0.0000 0.4581 0.2500
In 0.1273 0.1478 0.6240
Pb 0.1250 0.2524 0.1253

Most intense lines, 10 to 90 degrees two-theta, in order of rising 2θ:
(3 3 -1), 2θ 32.30, 2.772 Å, rel. 53; (4 2 0), 2θ 33.70, 2.660 Å, rel. 52; (1 5 1), 2θ 33.79, 2.653 Å, rel. 100; (2 0 2), 2θ 34.53, 2.598 Å, rel. 49; (2 2 -2), 2θ 34.88, 2.573 Å, rel. 48; (5 3 1), 2θ 47.11, 1.929 Å, rel. 21; (3 7 -1), 2θ 49.80, 1.831 Å, rel. 17; (3 5 3), 2θ 61.39, 1.510 Å, rel. 17

=====

[5]
For ReAg5O4F2, a cell relaxed with GGA-PBE gives the theoretical powder X-ray diffraction pattern in this record (Cu Kα (weighted mean of Kα1 and Kα2)).
No peak broadening, texture or thermal motion is included.

Atomic structure:
Lattice parameters (Å, degrees): 6.4729 17.7199 4.2353 90.00 90.00 90.00
Space group Amm2 (No. 38)
One atom of each set of equivalent atoms:
Re 0.0000 0.0000 0.0000
Ag 0.2061 0.1994 0.3406
Ag 0.5000 0.0000 0.3800
O 0.0000 0.0816 0.2377
O 0.2255 0.0000 0.7708
F 0.5000 0.1320 0.3306

Most intense lines, 10 to 90 degrees two-theta, in order of rising 2θ:
(0 4 0), 2θ 20.04, 4.430 Å, rel. 37; (1 1 1), 2θ 25.63, 3.475 Å, rel. 35; (0 3 1), 2θ 25.89, 3.442 Å, rel. 46; (2 2 0), 2θ 29.38, 3.040 Å, rel. 100; (0 5 1), 2θ 32.96, 2.718 Å, rel. 21; (2 3 1), 2θ 38.17, 2.358 Å, rel. 21; (2 5 1), 2θ 43.48, 2.081 Å, rel. 20; (1 7 1), 2θ 43.96, 2.060 Å, rel. 26

=====

[6]
For SrUGe2O8, a cell relaxed with GGA-PBE gives the theoretical powder X-ray diffraction pattern in this record (Cu Kα (weighted mean of Kα1 and Kα2)).
No peak broadening, texture or thermal motion is included.

Atomic structure:
Lattice parameters (Å, degrees): 5.0255 5.0255 25.7140 90.00 90.00 120.00
Space group R32 (No. 155, hexagonal axes)
One atom of each set of equivalent atoms:
Sr 0.0000 0.0000 0.0000
U 0.0000 0.0000 0.5000
Ge 0.0000 0.0000 0.2476
O 0.0000 0.0000 0.3142
O 0.0034 0.3579 0.1137

Most intense lines, 10 to 90 degrees two-theta, in order of rising 2θ:
(0 0 3), 2θ 10.32, 8.571 Å, rel. 29; (1 0 1), 2θ 20.70, 4.290 Å, rel. 21; (1 0 4), 2θ 24.70, 3.604 Å, rel. 100; (0 1 8), 2θ 34.69, 2.586 Å, rel. 34; (1 1 0), 2θ 35.73, 2.513 Å, rel. 37; (0 2 4), 2θ 43.93, 2.061 Å, rel. 23; (1 1 12), 2θ 56.43, 1.631 Å, rel. 25; (2 1 4), 2θ 57.86, 1.594 Å, rel. 20

=====

[7]
For K2Mg3CdBi4, a cell relaxed with GGA-PBE gives the theoretical powder X-ray diffraction pattern in this record (Cu Kα (weighted mean of Kα1 and Kα2)).
No peak broadening, texture or thermal motion is included.

Atomic structure:
Lattice parameters (Å, degrees): 5.2278 5.2278 12.0729 90.00 90.00 90.00
Space group P-4m2 (No. 115)
One atom of each set of equivalent atoms:
K 0.0000 0.5000 0.2441
Mg 0.0000 0.5000 0.8737
Mg 0.5000 0.5000 0.5000
Cd 0.0000 0.0000 0.5000
Bi 0.0000 0.0000 0.0000
Bi 0.0000 0.5000 0.6311
Bi 0.5000 0.5000 0.0000

Most intense lines, 10 to 90 degrees two-theta, in order of rising 2θ:
(0 0 2), 2θ 14.67, 6.036 Å, rel. 49; (1 0 1), 2θ 18.49, 4.797 Å, rel. 44; (1 0 2), 2θ 22.50, 3.952 Å, rel. 54; (1 1 1), 2θ 25.20, 3.535 Å, rel. 77; (1 1 2), 2θ 28.31, 3.152 Å, rel. 100; (2 0 0), 2θ 34.31, 2.614 Å, rel. 84; (1 1 4), 2θ 38.51, 2.338 Å, rel. 88; (2 0 3), 2θ 41.18, 2.192 Å, rel. 43

=====

[8]
For ZrPaPt4, a cell relaxed with GGA-PBE gives the theoretical powder X-ray diffraction pattern in this record (Cu Kα (weighted mean of Kα1 and Kα2)).
No peak broadening, texture or thermal motion is included.

Atomic structure:
Lattice parameters (Å, degrees): 7.6248 7.6248 7.6248 90.00 90.00 90.00
Space group F-43m (No. 216)
One atom of each set of equivalent atoms:
Zr 0.0000 0.0000 0.0000
Pa 0.2500 0.2500 0.7500
Pt 0.1256 0.1256 0.3744

Most intense lines, 10 to 90 degrees two-theta, in order of rising 2θ:
(1 1 1), 2θ 20.17, 4.402 Å, rel. 15; (2 2 0), 2θ 33.23, 2.696 Å, rel. 21; (3 1 1), 2θ 39.19, 2.299 Å, rel. 100; (2 2 2), 2θ 41.00, 2.201 Å, rel. 47; (5 1 1), 2θ 63.39, 1.467 Å, rel. 33; (4 4 0), 2θ 69.77, 1.348 Å, rel. 29; (5 3 3), 2θ 83.06, 1.163 Å, rel. 12; (6 2 2), 2θ 84.24, 1.149 Å, rel. 19

=====

[9]
For LiCoCu2, a cell relaxed with GGA-PBE gives the theoretical powder X-ray diffraction pattern in this record (Cu Kα (weighted mean of Kα1 and Kα2)).
No peak broadening, texture or thermal motion is included.

Atomic structure:
Lattice parameters (Å, degrees): 2.4613 3.7714 5.0945 90.00 90.00 90.00
Space group Pmmm (No. 47)
One atom of each set of equivalent atoms:
Li 0.0000 0.0000 0.0000
Co 0.0000 0.0000 0.5000
Cu 0.5000 0.5000 0.2572

Most intense lines, 10 to 90 degrees two-theta, in order of rising 2θ:
(0 0 1), 2θ 17.41, 5.094 Å, rel. 50; (0 1 0), 2θ 23.59, 3.771 Å, rel. 29; (0 1 1), 2θ 29.47, 3.031 Å, rel. 18; (0 1 2), 2θ 42.84, 2.111 Å, rel. 100; (1 1 0), 2θ 43.93, 2.061 Å, rel. 93; (0 2 0), 2θ 48.26, 1.886 Å, rel. 35; (1 0 2), 2θ 51.64, 1.770 Å, rel. 61; (1 2 2), 2θ 73.36, 1.291 Å, rel. 36

=====

[10]
For Sr2BAsPd6, a cell relaxed with GGA-PBE gives the theoretical powder X-ray diffraction pattern in this record (Cu Kα (weighted mean of Kα1 and Kα2)).
No peak broadening, texture or thermal motion is included.

Atomic structure:
Lattice parameters (Å, degrees): 10.3567 5.9816 7.0492 90.00 119.37 90.00
Space group C2/m (No. 12)
One atom of each set of equivalent atoms:
Sr 0.2220 0.0000 0.1675
B 0.0000 0.0000 0.5000
As 0.0000 0.5000 0.0000
Pd 0.0263 0.2611 0.3191
Pd 0.2343 0.0000 0.6804

Most intense lines, 10 to 90 degrees two-theta, in order of rising 2θ:
(0 0 2), 2θ 29.07, 3.072 Å, rel. 22; (1 1 -2), 2θ 29.75, 3.003 Å, rel. 20; (3 1 0), 2θ 33.32, 2.689 Å, rel. 31; (2 2 0), 2θ 36.03, 2.493 Å, rel. 100; (1 1 2), 2θ 38.35, 2.347 Å, rel. 27; (4 0 0), 2θ 39.94, 2.257 Å, rel. 89; (1 3 2), 2θ 58.78, 1.571 Å, rel. 20; (0 4 0), 2θ 62.08, 1.495 Å, rel. 33

=====

[11]
For Cs2AcMnS4, a cell relaxed with GGA-PBE gives the theoretical powder X-ray diffraction pattern in this record (Cu Kα (weighted mean of Kα1 and Kα2)).
No peak broadening, texture or thermal motion is included.

Atomic structure:
Lattice parameters (Å, degrees): 11.6753 11.8362 8.7893 90.00 116.65 90.00
Space group C2/c (No. 15)
One atom of each set of equivalent atoms:
Cs 0.0000 0.0000 0.0000
Cs 0.2500 0.2500 0.0000
Ac 0.0000 0.5000 0.0000
Mn 0.2500 0.2500 0.5000
S 0.0849 0.2652 0.5776
S 0.1907 0.4356 0.3671

Most intense lines, 10 to 90 degrees two-theta, in order of rising 2θ:
(1 1 0), 2θ 11.30, 7.827 Å, rel. 17; (0 0 2), 2θ 22.69, 3.920 Å, rel. 100; (2 2 -2), 2θ 26.18, 3.403 Å, rel. 36; (0 4 0), 2θ 30.20, 2.959 Å, rel. 23; (4 0 -2), 2θ 31.53, 2.837 Å, rel. 23; (2 2 2), 2θ 37.50, 2.398 Å, rel. 26; (0 4 2), 2θ 38.07, 2.363 Å, rel. 22; (2 6 0), 2θ 49.34, 1.847 Å, rel. 19

=====

[12]
For V3CrPt12, a cell relaxed with GGA-PBE gives the theoretical powder X-ray diffraction pattern in this record (Cu Kα (weighted mean of Kα1 and Kα2)).
No peak broadening, texture or thermal motion is included.

Atomic structure:
Lattice parameters (Å, degrees): 3.9166 3.9166 15.7127 90.00 90.00 90.00
Space group P4/mmm (No. 123)
One atom of each set of equivalent atoms:
V 0.0000 0.0000 0.0000
V 0.0000 0.0000 0.2531
Cr 0.0000 0.0000 0.5000
Pt 0.0000 0.5000 0.1244
Pt 0.0000 0.5000 0.3727
Pt 0.5000 0.5000 0.0000
Pt 0.5000 0.5000 0.2487
Pt 0.5000 0.5000 0.5000

Most intense lines, 10 to 90 degrees two-theta, in order of rising 2θ:
(1 0 0), 2θ 22.68, 3.920 Å, rel. 16; (1 1 0), 2θ 32.29, 2.772 Å, rel. 13; (1 1 4), 2θ 39.83, 2.263 Å, rel. 100; (0 0 8), 2θ 46.22, 1.964 Å, rel. 16; (2 0 0), 2θ 46.37, 1.958 Å, rel. 33; (2 0 8), 2θ 67.55, 1.387 Å, rel. 21; (1 1 12), 2θ 81.27, 1.184 Å, rel. 13; (3 1 4), 2θ 81.48, 1.181 Å, rel. 26